No. 1
Starting from a DFT-relaxed cell (GGA+U, the Materials Project), the XRD peak list of Li8Fe3Ni7O20 was simulated for Cu Kα X-rays.
Neutral-atom scattering factors, no anomalous dispersion.

Cell and atoms:
Cell lengths 5.1726, 2.8796, 23.8679 Å; angles 90.00, 93.55, 90.00 degrees
Fractional positions:
Li  0.0000  0.0000  0.0000
Li  0.0000  0.5000  0.5000
Li  0.1972  0.0000  0.6012
Li  0.3822  0.0000  0.1914
Li  0.3987  0.5000  0.7000
Li  0.6013  0.5000  0.3000
Li  0.6178  0.0000  0.8086
Li  0.8028  0.0000  0.3988
Fe  0.3066  0.5000  0.3971
Fe  0.5000  0.0000  0.5000
Fe  0.6934  0.5000  0.6029
Ni  0.0978  0.0000  0.2979
Ni  0.1074  0.5000  0.8008
Ni  0.3018  0.0000  0.9014
Ni  0.5000  0.5000  0.0000
Ni  0.6982  0.0000  0.0986
Ni  0.8926  0.5000  0.1992
Ni  0.9022  0.0000  0.7021
O  0.0167  0.0000  0.1573
O  0.0267  0.5000  0.6533
O  0.1700  0.0000  0.4482
O  0.1992  0.5000  0.9520
O  0.2028  0.5000  0.2467
O  0.2387  0.0000  0.7573
O  0.3609  0.5000  0.5499
O  0.3745  0.0000  0.0423
O  0.4048  0.5000  0.8498
O  0.4476  0.0000  0.3480
O  0.5524  0.0000  0.6520
O  0.5952  0.5000  0.1502
O  0.6255  0.0000  0.9577
O  0.6391  0.5000  0.4501
O  0.7613  0.0000  0.2427
O  0.7972  0.5000  0.7533
O  0.8008  0.5000  0.0480
O  0.8300  0.0000  0.5518
O  0.9733  0.5000  0.3467
O  0.9833  0.0000  0.8427

Most intense lines, 2θ = 10–80°, by intensity:
d/Å  Rel. int.
4.848  100
2.052  42
2.464  26
2.105  22
2.513  14
2.379  13
1.479  12
1.460  12
1.591  9
1.909  9
1.440  6
1.463  5

=====

No. 2
Starting from a DFT-relaxed cell (GGA+U, the Materials Project), the XRD peak list of Li4Fe3NiO8 was simulated for Cu Kα X-rays.
Neutral-atom scattering factors, no anomalous dispersion.

Cell and atoms:
Cell lengths 5.7613, 5.8178, 5.8497 Å; angles 119.13, 90.59, 118.82 degrees
Fractional positions:
Li  0.0000  0.0000  0.0000
Li  0.0000  0.5000  0.0000
Li  0.5000  0.0000  0.0000
Li  0.5000  0.5000  0.0000
Fe  0.0000  0.0000  0.5000
Fe  0.0000  0.5000  0.5000
Fe  0.5000  0.0000  0.5000
Ni  0.5000  0.5000  0.5000
O  0.2189  0.0276  0.7177
O  0.2341  0.9594  0.2732
O  0.2421  0.4661  0.2712
O  0.2497  0.5322  0.7424
O  0.7503  0.4678  0.2576
O  0.7579  0.5339  0.7288
O  0.7659  0.0406  0.7268
O  0.7811  0.9724  0.2823

Most intense lines, 2θ = 10–80°, by intensity:
d/Å  Rel. int.
4.841  100
2.520  27
2.109  26
2.063  25
2.041  21
2.482  13
2.388  12
1.904  9
1.477  7
1.481  7
2.450  7
1.473  6

=====

No. 3
Starting from a DFT-relaxed cell (GGA+U, the Materials Project), the XRD peak list of Li3Fe2Ni2O8 was simulated for Cu Kα X-rays.
Neutral-atom scattering factors, no anomalous dispersion.

Cell and atoms:
Cell lengths 5.8427, 5.8670, 5.9066 Å; angles 119.29, 119.57, 90.07 degrees
Fractional positions:
Li  0.0000  0.0000  0.0000
Li  0.0000  0.5000  0.0000
Li  0.5000  0.0000  0.5000
Fe  0.0000  0.5000  0.5000
Fe  0.5000  0.5000  0.5000
Ni  0.5000  0.0000  0.0000
Ni  0.5000  0.5000  0.0000
O  0.2593  0.7234  0.9783
O  0.2631  0.2692  0.4886
O  0.2714  0.7283  0.5061
O  0.2894  0.2868  0.0482
O  0.7106  0.7132  0.9518
O  0.7286  0.2717  0.4939
O  0.7369  0.7308  0.5114
O  0.7407  0.2766  0.0217

Most intense lines, 2θ = 10–80°, by intensity:
d/Å  Rel. int.
4.811  100
2.070  60
4.848  39
2.123  33
2.500  23
2.405  19
1.487  17
1.477  17
2.547  13
2.511  10
1.467  8
1.461  8

=====

No. 4
Starting from a DFT-relaxed cell (GGA+U, the Materials Project), the XRD peak list of Li4Fe2Ni5O12 was simulated for Cu Kα X-rays.
Neutral-atom scattering factors, no anomalous dispersion.

Cell and atoms:
Cell lengths 5.0350, 8.8817, 9.7769 Å; angles 90.00, 100.65, 90.00 degrees
Fractional positions:
Li  0.0029  0.0000  0.2462
Li  0.0056  0.6620  0.2494
Li  0.2586  0.6632  0.9987
Li  0.4972  0.4901  0.2477
Li  0.5028  0.9901  0.7523
Li  0.7414  0.1632  0.0013
Li  0.9944  0.1620  0.7506
Li  0.9971  0.5000  0.7538
Fe  0.2494  0.8251  0.5032
Fe  0.2504  0.3252  0.0019
Fe  0.7496  0.8252  0.9981
Fe  0.7506  0.3251  0.4968
Ni  0.0004  0.3212  0.2465
Ni  0.9996  0.8212  0.7535
Ni  0.2483  0.4975  0.5026
Ni  0.2524  0.9998  0.0024
Ni  0.2550  0.1607  0.5005
Ni  0.4973  0.3319  0.7514
Ni  0.5027  0.8319  0.2486
Ni  0.7450  0.6607  0.4995
Ni  0.7476  0.4998  0.9976
Ni  0.7517  0.9975  0.4974
O  0.1128  0.6662  0.6183
O  0.1126  0.9876  0.6187
O  0.1224  0.3295  0.6219
O  0.1292  0.4743  0.1194
O  0.1321  0.1689  0.1071
O  0.1368  0.8434  0.1210
O  0.3550  0.1742  0.8836
O  0.3622  0.4757  0.8862
O  0.3635  0.8470  0.8866
O  0.3666  0.3388  0.3866
O  0.3763  0.6693  0.3781
O  0.3851  0.9851  0.3876
O  0.6149  0.4851  0.6124
O  0.6237  0.1693  0.6219
O  0.6334  0.8388  0.6134
O  0.6365  0.3470  0.1134
O  0.6378  0.9757  0.1138
O  0.6450  0.6742  0.1164
O  0.8632  0.3434  0.8790
O  0.8679  0.6689  0.8929
O  0.8708  0.9743  0.8806
O  0.8776  0.8295  0.3781
O  0.8872  0.1662  0.3817
O  0.8874  0.4876  0.3813

Most intense lines, 2θ = 10–80°, by intensity:
d/Å  Rel. int.
2.089  100
2.051  48
4.804  45
2.401  42
3.724  34
1.460  27
1.467  27
4.441  25
4.204  22
1.201  18
1.474  14
2.386  14

=====

No. 5
Starting from a DFT-relaxed cell (GGA+U, the Materials Project), the XRD peak list of Li5Fe2Ni5O12 was simulated for Cu Kα X-rays.
Neutral-atom scattering factors, no anomalous dispersion.

Cell and atoms:
Cell lengths 5.0989, 5.0989, 9.7866 Å; angles 95.14, 95.14, 120.59 degrees
Fractional positions:
Li  0.0000  0.0000  0.0000
Li  0.2588  0.2420  0.7508
Li  0.4083  0.0889  0.2459
Li  0.7580  0.7412  0.2492
Li  0.9111  0.5917  0.7541
Fe  0.3333  0.6667  0.0000
Fe  0.8375  0.1625  0.5000
Ni  0.0834  0.4119  0.2460
Ni  0.1681  0.8319  0.5000
Ni  0.4991  0.5009  0.5000
Ni  0.5881  0.9166  0.7540
Ni  0.6619  0.3381  0.0000
O  0.0221  0.6759  0.1147
O  0.1184  0.1267  0.3769
O  0.2042  0.5450  0.6220
O  0.3241  0.9779  0.8853
O  0.3905  0.3908  0.1171
O  0.4550  0.7958  0.3780
O  0.5247  0.1786  0.6126
O  0.6092  0.6095  0.8829
O  0.6927  0.0648  0.1151
O  0.8214  0.4753  0.3874
O  0.8733  0.8816  0.6231
O  0.9352  0.3073  0.8849

Most intense lines, 2θ = 10–80°, by intensity:
d/Å  Rel. int.
2.087  100
2.061  48
2.403  46
4.813  40
3.738  30
1.476  28
1.470  27
1.463  27
4.208  24
4.429  21
2.391  14
1.200  12

=====

No. 6
Starting from a DFT-relaxed cell (GGA+U, the Materials Project), the XRD peak list of Li2Fe3NiO8 was simulated for Cu Kα X-rays.
Neutral-atom scattering factors, no anomalous dispersion.

Cell and atoms:
Cell lengths 8.0543, 8.0666, 8.1740 Å; angles 90.07, 90.02, 90.22 degrees
Fractional positions:
Li  0.0000  0.0000  0.0000
Li  0.9995  0.4993  0.4972
Li  0.2430  0.2438  0.2452
Li  0.2478  0.7433  0.7467
Li  0.5001  0.4966  0.9972
Li  0.5003  0.9958  0.4988
Li  0.7438  0.2440  0.7480
Li  0.7470  0.7432  0.2480
Fe  0.1194  0.1240  0.6226
Fe  0.1206  0.3737  0.8701
Fe  0.1252  0.6205  0.1213
Fe  0.3689  0.3696  0.6193
Fe  0.3738  0.6167  0.3694
Fe  0.3755  0.8676  0.1226
Fe  0.6208  0.3685  0.3723
Fe  0.6229  0.1181  0.1239
Fe  0.6265  0.8694  0.8759
Fe  0.8699  0.1229  0.3750
Fe  0.8737  0.8743  0.6259
Fe  0.8748  0.6227  0.8729
Ni  0.1235  0.8713  0.3724
Ni  0.3720  0.1199  0.8729
Ni  0.6233  0.6201  0.6226
Ni  0.8718  0.3717  0.1227
O  0.1061  0.1128  0.3913
O  0.1086  0.8879  0.6096
O  0.1095  0.3850  0.1053
O  0.1107  0.6105  0.8895
O  0.1302  0.1379  0.8540
O  0.1330  0.3601  0.6355
O  0.1380  0.6294  0.3520
O  0.1398  0.8560  0.1352
O  0.3554  0.3621  0.8557
O  0.3556  0.1350  0.6355
O  0.3627  0.6310  0.1371
O  0.3652  0.8528  0.3558
O  0.3799  0.6045  0.6013
O  0.3848  0.3807  0.3819
O  0.3871  0.1032  0.1103
O  0.3903  0.8779  0.8896
O  0.6036  0.3771  0.6045
O  0.6100  0.6035  0.3869
O  0.6124  0.8807  0.1082
O  0.6143  0.1050  0.8931
O  0.6328  0.1328  0.3556
O  0.6343  0.3559  0.1393
O  0.6388  0.8633  0.6440
O  0.6395  0.6336  0.8582
O  0.8562  0.3572  0.3642
O  0.8587  0.1342  0.1398
O  0.8628  0.8583  0.8632
O  0.8664  0.6398  0.6407
O  0.8816  0.8882  0.3894
O  0.8832  0.1100  0.6098
O  0.8861  0.3877  0.8811
O  0.8874  0.6092  0.1061

Most intense lines, 2θ = 10–80°, by intensity:
d/Å  Rel. int.
4.675  100
2.015  34
2.435  19
2.044  18
1.435  15
2.458  15
2.430  12
2.339  9
1.571  6
1.551  6
1.434  5
1.428  5

=====

Please write out number 3 again, unchanged.
Starting from a DFT-relaxed cell (GGA+U, the Materials Project), the XRD peak list of Li3Fe2Ni2O8 was simulated for Cu Kα X-rays.
Neutral-atom scattering factors, no anomalous dispersion.

Cell and atoms:
Cell lengths 5.8427, 5.8670, 5.9066 Å; angles 119.29, 119.57, 90.07 degrees
Fractional positions:
Li  0.0000  0.0000  0.0000
Li  0.0000  0.5000  0.0000
Li  0.5000  0.0000  0.5000
Fe  0.0000  0.5000  0.5000
Fe  0.5000  0.5000  0.5000
Ni  0.5000  0.0000  0.0000
Ni  0.5000  0.5000  0.0000
O  0.2593  0.7234  0.9783
O  0.2631  0.2692  0.4886
O  0.2714  0.7283  0.5061
O  0.2894  0.2868  0.0482
O  0.7106  0.7132  0.9518
O  0.7286  0.2717  0.4939
O  0.7369  0.7308  0.5114
O  0.7407  0.2766  0.0217

Most intense lines, 2θ = 10–80°, by intensity:
d/Å  Rel. int.
4.811  100
2.070  60
4.848  39
2.123  33
2.500  23
2.405  19
1.487  17
1.477  17
2.547  13
2.511  10
1.467  8
1.461  8